Entry 1:
Computed X-ray diffraction stick pattern
Compound: Ac4HgN
Radiation: copper Kα
Structure: a DFT-relaxed cell (GGA-PBE, Alexandria)

Structure:
a b c (Å): 5.6025 7.2781 10.2405
angles (deg): 90.00 105.85 90.00
Space group P2_1 (No. 4)
Asymmetric unit:
Ac 0.0233 0.0000 0.0466 [2 per cell]
Ac 0.1605 0.6134 0.3220 [2 per cell]
Ac 0.2090 0.1150 0.4175 [2 per cell]
Ac 0.4061 0.8144 0.8121 [2 per cell]
Hg 0.3949 0.3279 0.7893 [2 per cell]
N 0.0945 0.3100 0.1915 [2 per cell]

Most intense lines, 15 to 90 degrees two-theta, in order of rising 2θ:
Position (°2θ)  d/Å  I_rel
26.10  3.414  25.5
27.68  3.223  100.0
29.62  3.016  89.5
29.85  2.993  18.6
30.33  2.947  34.4
30.54  2.927  23.0
31.95  2.801  57.8
32.35  2.768  41.7
36.87  2.438  27.6
49.57  1.839  22.2


Entry 2:
Computed X-ray diffraction stick pattern
Compound: Ac12Hg3N4
Radiation: copper Kα
Structure: a DFT-relaxed cell (GGA-PBE, Alexandria)

Structure:
a b c (Å): 10.6788 10.6788 10.6788
angles (deg): 90.00 90.00 90.00
Space group Im-3 (No. 204)
Asymmetric unit:
Ac 0.0000 0.2753 0.2264 [24 per cell]
Hg 0.0000 0.0000 0.5000 [6 per cell]
N 0.2500 0.2500 0.2500 [8 per cell]

Most intense lines, 15 to 90 degrees two-theta, in order of rising 2θ:
Position (°2θ)  d/Å  I_rel
26.39  3.377  12.9
28.96  3.083  100.0
31.34  2.854  15.5
33.57  2.670  52.6
48.21  1.888  31.5
49.79  1.831  9.1
52.85  1.732  12.8
57.22  1.610  30.1
60.02  1.541  8.9
61.39  1.510  10.4


Entry 3:
Computed X-ray diffraction stick pattern
Compound: Ac3Pr4Hg3N2
Radiation: copper Kα
Structure: a DFT-relaxed cell (GGA-PBE, Alexandria)

Structure:
a b c (Å): 5.1535 5.3113 25.7618
angles (deg): 90.00 90.00 90.00
Space group Immm (No. 71)
Asymmetric unit:
Ac 0.0000 0.0000 0.0000 [2 per cell]
Ac 0.0000 0.5000 0.0989 [4 per cell]
Pr 0.0000 0.0000 0.2014 [4 per cell]
Pr 0.0000 0.5000 0.3982 [4 per cell]
Hg 0.0000 0.0000 0.3223 [4 per cell]
Hg 0.0000 0.0000 0.5000 [2 per cell]
N 0.0000 0.0000 0.1053 [4 per cell]

Most intense lines, 15 to 90 degrees two-theta, in order of rising 2θ:
Position (°2θ)  d/Å  I_rel
27.82  3.207  67.1
31.94  2.802  100.0
33.75  2.656  36.7
34.82  2.577  56.3
49.28  1.849  42.6
50.07  1.822  21.0
59.23  1.560  17.8
60.62  1.528  16.6
61.75  1.502  17.4
62.96  1.476  11.6


Entry 4:
Computed X-ray diffraction stick pattern
Compound: Ac4Pr3Hg3N2
Radiation: copper Kα
Structure: a DFT-relaxed cell (GGA-PBE, Alexandria)

Structure:
a b c (Å): 5.2075 5.3471 25.7227
angles (deg): 90.00 90.00 90.00
Space group Immm (No. 71)
Asymmetric unit:
Ac 0.0000 0.0000 0.0941 [4 per cell]
Ac 0.0000 0.5000 0.2004 [4 per cell]
Pr 0.0000 0.0000 0.4050 [4 per cell]
Pr 0.0000 0.5000 0.0000 [2 per cell]
Hg 0.0000 0.5000 0.3278 [4 per cell]
Hg 0.0000 0.5000 0.5000 [2 per cell]
N 0.0000 0.5000 0.1006 [4 per cell]

Most intense lines, 15 to 90 degrees two-theta, in order of rising 2θ:
Position (°2θ)  d/Å  I_rel
24.85  3.583  20.6
27.64  3.227  43.7
31.80  2.814  100.0
33.52  2.674  36.2
34.44  2.604  33.6
34.88  2.572  17.5
48.82  1.865  25.5
49.84  1.829  17.1
58.85  1.569  19.5
60.05  1.541  16.8